1.
The following is a simulated PXRD pattern of PaCrC2. It was derived from the GGA-PBE geometry in Alexandria, using copper Kα.
No peak broadening, texture or thermal motion is included.

Main lines, in order of rising 2θ (2θ = 10–80°):
2θ/deg, d (Å), Rel. int., h k l
17.95, 4.941, 311, 1 0 1
23.13, 3.846, 175, 1 0 2
28.44, 3.139, 288, 0 1 1
29.91, 2.988, 389, 1 0 3
33.19, 2.700, 307, 2 0 1
33.79, 2.653, 271, 0 0 4
35.95, 2.498, 1000, 1 1 2
40.82, 2.211, 169, 1 1 3
51.25, 1.783, 170, 0 1 5
57.58, 1.601, 168, 3 1 1

Atomic structure:
Unit cell a=5.5829 b=3.2858 c=10.6103 alpha=90.00 beta=90.00 gamma=90.00
Space group Pnma (No. 62)
One atom of each set of equivalent atoms:
Pa: 0.0815 0.2500 0.1419
Cr: 0.0780 0.7500 0.4015
C: 0.1659 0.2500 0.7526
C: 0.2185 0.2500 0.4858



2.
The following is a simulated PXRD pattern of MgZr2Pd6. It was derived from the GGA-PBE geometry in Alexandria, using copper Kα.
No peak broadening, texture or thermal motion is included.

Main lines, in order of rising 2θ (2θ = 10–80°):
2θ/deg, d (Å), Rel. int., h k l
33.16, 2.702, 278, 1 1 1
37.92, 2.372, 135, 1 3 1
38.51, 2.337, 382, 0 6 0
39.87, 2.261, 215, 0 4 1
40.81, 2.211, 1000, 3 3 0
46.20, 1.965, 144, 1 5 1
46.87, 1.939, 202, 2 4 1
47.95, 1.897, 128, 3 1 1
67.69, 1.384, 116, 3 7 1
77.65, 1.230, 187, 3 3 2

Atomic structure:
Unit cell a=7.5357 b=14.0247 c=2.9579 alpha=90.00 beta=90.00 gamma=90.00
Space group Cmmm (No. 65)
One atom of each set of equivalent atoms:
Mg: 0.0000 0.0000 0.0000
Zr: 0.0000 0.3167 0.5000
Pd: 0.1849 0.1595 0.0000
Pd: 0.1847 0.5000 0.5000